Computed XRD peak list
Compound: H6PbCBr3N
Radiation: Cu Kα X-rays
Structure: the GGA-PBE geometry in the Materials Project

Main lines, sorted by position (2θ = 10–90°):
hkl 0 0 1, 14.45 deg, I = 48; hkl 1 0 0, 14.65 deg, I = 100; hkl 1 0 1, 20.63 deg, I = 33; hkl 0 0 2, 29.14 deg, I = 33; hkl 0 2 0, 29.48 deg, I = 35; hkl 1 0 2, 32.76 deg, I = 35; hkl 2 0 -1, 33.04 deg, I = 40; hkl 2 0 1, 33.13 deg, I = 29; hkl 0 2 2, 41.95 deg, I = 33; hkl 2 1 -2, 44.69 deg, I = 32

Lattice parameters (Å, degrees): 6.039 6.060 6.128 90.00 90.07 90.00
Atoms (fractional coordinates):
H (0.000, 0.000, 0.000)
H (0.040, 0.138, 0.770)
H (0.040, 0.862, 0.770)
H (0.647, 0.148, 0.863)
H (0.647, 0.852, 0.863)
H (0.692, 0.000, 0.613)
Pb (0.297, 0.500, 0.279)
C (0.720, 0.000, 0.790)
Br (0.252, 0.500, 0.774)
Br (0.257, 0.000, 0.314)
Br (0.789, 0.500, 0.242)
N (0.963, 0.000, 0.834)